# Pm5Pt4
Computed PXRD pattern, Cu Kα X-rays. Input: a DFT-relaxed cell (PBE, Alexandria).

Main lines, sorted by position (10 to 90 degrees two-theta):
2θ/deg	d_spacing	I_rel
17.05	5.201	27
30.57	2.924	100
32.75	2.734	92
33.18	2.700	51
33.91	2.643	25
37.23	2.415	32
38.13	2.360	65
40.46	2.229	64
41.34	2.184	46
46.73	1.944	41
63.49	1.465	34
69.90	1.346	23

Structural model:
Cell lengths 10.8084, 3.8877, 11.5853 Å; angles 90.00, 105.78, 90.00 degrees
Space group C2/m (No. 12)
Symmetry-distinct sites (fractional):
Pm1 0.0000 0.0000 0.0000
Pm2 0.1079 0.0000 0.3975
Pm3 0.2197 0.0000 0.8003
Pt1 0.0014 0.5000 0.8100
Pt2 0.1178 0.5000 0.6029


# Pm2Pu3Pt4
Computed PXRD pattern, Cu Kα X-rays. Input: a DFT-relaxed cell (PBE, Alexandria).

Main lines, sorted by position (10 to 90 degrees two-theta):
2θ/deg	d_spacing	I_rel
30.69	2.913	26
30.81	2.902	28
33.00	2.715	100
33.25	2.695	72
33.50	2.675	92
33.78	2.653	51
36.94	2.434	56
37.12	2.422	56
37.38	2.406	88
37.61	2.391	31
38.99	2.310	47
56.63	1.625	25

Structural model:
Cell lengths 7.7223, 7.7628, 7.5907 Å; angles 90.00, 109.68, 90.00 degrees
Space group P2_1/c (No. 14)
Symmetry-distinct sites (fractional):
Pm1 0.1907 0.1766 0.0664
Pu1 0.2456 0.6678 0.2397
Pu2 0.5000 0.0000 0.5000
Pt1 0.0784 0.5382 0.8425
Pt2 0.4915 0.1312 0.8682


# PmPu2Pt9
Computed PXRD pattern, Cu Kα X-rays. Input: a DFT-relaxed cell (PBE, Alexandria).

Main lines, sorted by position (10 to 90 degrees two-theta):
2θ/deg	d_spacing	I_rel
30.17	2.962	16
32.91	2.721	14
33.05	2.710	24
38.50	2.338	27
38.91	2.315	100
40.51	2.227	21
40.75	2.214	16
41.88	2.157	20
42.05	2.149	36
62.95	1.476	25
69.35	1.355	24
83.52	1.158	17

Structural model:
Cell lengths 5.4203, 5.4203, 26.7193 Å; angles 90.00, 90.00, 120.00 degrees
Space group R-3m (No. 166, hexagonal axes)
Symmetry-distinct sites (fractional):
Pm1 0.0000 0.0000 0.0000
Pu1 0.0000 0.0000 0.1425
Pt1 0.0000 0.0000 0.3328
Pt2 0.0000 0.0000 0.5000
Pt3 0.0035 0.5017 0.9150


# PmPu4Pt4
Computed PXRD pattern, Cu Kα X-rays. Input: a DFT-relaxed cell (PBE, Alexandria).

Main lines, sorted by position (10 to 90 degrees two-theta):
2θ/deg	d_spacing	I_rel
13.65	6.489	17
30.81	2.902	100
31.26	2.861	48
44.14	2.052	39
44.47	2.037	75
55.08	1.667	41
64.19	1.451	13
72.89	1.298	18
73.13	1.294	18
73.86	1.283	17
81.43	1.182	27
82.13	1.174	13

Structural model:
Cell lengths 9.1766, 9.1766, 5.7222 Å; angles 90.00, 90.00, 90.00 degrees
Space group I4/m (No. 87)
Symmetry-distinct sites (fractional):
Pm1 0.0000 0.0000 0.0000
Pu1 0.1022 0.6944 0.5000
Pt1 0.1049 0.6988 0.0000


# Pm4PuPt5
Computed PXRD pattern, Cu Kα X-rays. Input: a DFT-relaxed cell (PBE, Alexandria).

Main lines, sorted by position (10 to 90 degrees two-theta):
2θ/deg	d_spacing	I_rel
25.08	3.551	1
35.48	2.530	100
35.76	2.511	49
50.62	1.803	9
51.47	1.776	18
63.51	1.465	19
64.07	1.453	37
75.08	1.265	12
75.77	1.255	6
85.22	1.139	8
86.55	1.125	8
86.71	1.123	8

Structural model:
Cell lengths 3.5510, 3.5510, 18.0341 Å; angles 90.00, 90.00, 90.00 degrees
Space group P4/mmm (No. 123)
Symmetry-distinct sites (fractional):
Pm1 0.0000 0.0000 0.1009
Pm2 0.0000 0.0000 0.3030
Pu1 0.0000 0.0000 0.5000
Pt1 0.5000 0.5000 0.0000
Pt2 0.5000 0.5000 0.1999
Pt3 0.5000 0.5000 0.4013


# Pm7Pt2Rh2
Computed PXRD pattern, Cu Kα X-rays. Input: a DFT-relaxed cell (PBE, Alexandria).

Main lines, sorted by position (10 to 90 degrees two-theta):
2θ/deg	d_spacing	I_rel
28.48	3.134	16
29.72	3.006	51
30.34	2.946	30
32.93	2.720	20
33.64	2.664	100
34.05	2.633	32
36.02	2.493	19
37.91	2.373	39
39.66	2.272	21
45.63	1.988	27
50.92	1.793	19
53.53	1.712	15

Structural model:
Cell lengths 3.9763, 15.4773, 9.6014 Å; angles 90.00, 90.00, 90.00 degrees
Space group Imm2 (No. 44)
Symmetry-distinct sites (fractional):
Pm1 0.0000 0.0000 0.0000
Pm2 0.0000 0.1104 0.6187
Pm3 0.0000 0.3091 0.4043
Pm4 0.0000 0.3787 0.7753
Pt1 0.0000 0.2396 0.1099
Rh1 0.0000 0.0000 0.3700
Rh2 0.0000 0.5000 0.2914


# Pm5Pt3Rh
Computed PXRD pattern, Cu Kα X-rays. Input: a DFT-relaxed cell (PBE, Alexandria).

Main lines, sorted by position (10 to 90 degrees two-theta):
2θ/deg	d_spacing	I_rel
31.60	2.831	92
32.61	2.746	100
34.25	2.618	41
38.44	2.342	27
38.66	2.329	18
41.09	2.197	16
44.25	2.047	19
44.45	2.038	17
50.54	1.806	13
53.72	1.706	15
59.98	1.542	23
60.29	1.535	16

Structural model:
Cell lengths 7.4057, 7.4057, 16.3755 Å; angles 90.00, 90.00, 90.00 degrees
Space group I4/mcm (No. 140)
Symmetry-distinct sites (fractional):
Pm1 0.0000 0.0000 0.0000
Pm2 0.2016 0.2984 0.1441
Pt1 0.0000 0.0000 0.2500
Pt2 0.1261 0.3739 0.5000
Rh1 0.0000 0.5000 0.2500


# Pm6RuPt
Computed PXRD pattern, Cu Kα X-rays. Input: a DFT-relaxed cell (PBE, Alexandria).

Main lines, sorted by position (10 to 90 degrees two-theta):
2θ/deg	d_spacing	I_rel
17.54	5.057	22
23.45	3.794	15
26.91	3.313	12
29.59	3.019	100
37.97	2.370	47
46.37	1.958	34
49.23	1.851	24
54.43	1.686	10
55.97	1.643	16
61.42	1.510	12
75.10	1.265	11
75.56	1.258	11

Structural model:
Cell lengths 6.7792, 6.7844, 7.6942 Å; angles 89.99, 63.87, 60.04 degrees
Space group P-1 (No. 2)
Symmetry-distinct sites (fractional):
Pm1 0.0095 0.4186 0.2437
Pm2 0.3248 0.9281 0.7563
Pm3 0.3279 0.7532 0.2439
Ru1 0.5000 0.0000 0.0000
Pt1 0.5000 0.5000 0.5000